[1]
The following is a theoretical powder XRD pattern of AlSiIr. It was derived from the PBE geometry in Alexandria, using a wavelength of 1.5418 Å.

a b c (Å): 7.3437 7.3437 7.3437
angles (deg): 122.79 84.73 123.39
Atoms (fractional coordinates):
Al1 0.0008 0.2500 0.2508
Al2 0.3560 0.3055 0.5505
Al3 0.3564 0.8055 0.0509
Al4 0.7547 0.3055 0.9491
Al5 0.7550 0.8055 0.4495
Al6 0.9992 0.7500 0.7492
Si1 0.0892 0.2321 0.8579
Si2 0.0892 0.7313 0.3571
Si3 0.3742 0.2314 0.1421
Si4 0.3742 0.7321 0.6429
Si5 0.6080 0.1080 0.5000
Si6 0.6080 0.6080 0.0000
Ir1 0.0159 0.3673 0.6503
Ir2 0.0159 0.8656 0.1486
Ir3 0.3630 0.1132 0.7498
Ir4 0.3635 0.6132 0.2502
Ir5 0.7170 0.3656 0.3497
Ir6 0.7170 0.8673 0.8514

Top 12 peaks for 10 to 90 degrees two-theta, sorted by position:
| two_theta | d/Å | intensity |
| --- | --- | --- |
| 25.58 | 3.482 | 61 |
| 27.79 | 3.210 | 96 |
| 29.63 | 3.015 | 100 |
| 30.29 | 2.951 | 25 |
| 40.05 | 2.251 | 41 |
| 42.07 | 2.148 | 44 |
| 46.48 | 1.954 | 44 |
| 47.68 | 1.907 | 40 |
| 49.88 | 1.828 | 44 |
| 52.02 | 1.758 | 20 |
| 59.99 | 1.542 | 23 |
| 72.30 | 1.307 | 24 |



[2]
The following is a theoretical powder XRD pattern of LiTlPb. It was derived from the PBE geometry in Alexandria, using a wavelength of 1.5418 Å.

a b c (Å): 3.5419 4.7826 9.4296
angles (deg): 90.00 90.00 90.00
Atoms (fractional coordinates):
Li1 0.0000 0.0000 0.0000
Li2 0.5000 0.0000 0.2825
Tl1 0.0000 0.5000 0.7771
Tl2 0.5000 0.0000 0.6082
Pb1 0.0000 0.5000 0.3969
Pb2 0.5000 0.5000 0.0857

Top 12 peaks for 10 to 90 degrees two-theta, sorted by position:
| two_theta | d/Å | intensity |
| --- | --- | --- |
| 18.55 | 4.783 | 51 |
| 20.83 | 4.265 | 31 |
| 31.43 | 2.846 | 29 |
| 31.59 | 2.832 | 86 |
| 32.87 | 2.725 | 100 |
| 34.13 | 2.627 | 86 |
| 36.89 | 2.437 | 25 |
| 37.61 | 2.391 | 38 |
| 49.92 | 1.827 | 49 |
| 58.73 | 1.572 | 44 |
| 63.34 | 1.468 | 30 |
| 65.63 | 1.423 | 29 |



[3]
The following is a theoretical powder XRD pattern of Sr3PuBr8. It was derived from the PBE geometry in Alexandria, using a wavelength of 1.5418 Å.

a b c (Å): 8.0653 8.0653 8.8808
angles (deg): 90.00 90.00 117.47
Atoms (fractional coordinates):
Sr1 0.0000 0.0000 0.0000
Sr2 0.0000 0.5000 0.7488
Sr3 0.5000 0.0000 0.2512
Pu1 0.0000 0.0000 0.5000
Br1 0.2194 0.2724 0.7457
Br2 0.2197 0.7803 0.5000
Br3 0.2227 0.7773 0.0000
Br4 0.2724 0.2194 0.2543
Br5 0.7276 0.7806 0.2543
Br6 0.7773 0.2227 0.0000
Br7 0.7803 0.2197 0.5000
Br8 0.7806 0.7276 0.7457

Top 12 peaks for 10 to 90 degrees two-theta, sorted by position:
| two_theta | d/Å | intensity |
| --- | --- | --- |
| 12.37 | 7.156 | 84 |
| 15.91 | 5.572 | 49 |
| 23.58 | 3.774 | 38 |
| 25.85 | 3.447 | 52 |
| 29.32 | 3.046 | 100 |
| 34.26 | 2.618 | 24 |
| 35.74 | 2.512 | 18 |
| 39.48 | 2.282 | 69 |
| 39.96 | 2.256 | 21 |
| 40.63 | 2.220 | 21 |
| 43.23 | 2.093 | 17 |
| 48.79 | 1.867 | 18 |